# DyFe2B2
Computed powder XRD pattern, λ = 1.5418 Å (Cu Kα). Input: a DFT-relaxed cell (PBE, the Materials Project).

Most intense lines, 2θ = 10–90°, in order of rising 2θ:
26.4 deg, I = 93; 38.0 deg, I = 49; 38.3 deg, I = 28; 40.2 deg, I = 100; 50.5 deg, I = 29; 57.9 deg, I = 22; 64.9 deg, I = 20; 65.1 deg, I = 22; 70.6 deg, I = 20; 87.9 deg, I = 20

a = 5.346 Å, b = 5.346 Å, c = 5.346 Å
α = 140.49°, β = 140.49°, γ = 57.11°
Element x y z (fractional)
Dy  0.000  0.000  0.000
Fe  0.250  0.750  0.500
Fe  0.750  0.250  0.500
B  0.341  0.341  0.000
B  0.659  0.659  0.000

# Ti2ZnO4
Computed powder XRD pattern, λ = 1.5418 Å (Cu Kα). Input: a DFT-relaxed cell (PBE, the Materials Project).

Most intense lines, 2θ = 10–90°, in order of rising 2θ:
32.4 deg, I = 100; 33.3 deg, I = 30; 36.8 deg, I = 26; 37.4 deg, I = 19; 42.9 deg, I = 53; 45.7 deg, I = 46; 56.0 deg, I = 32; 60.5 deg, I = 20; 64.3 deg, I = 24; 73.5 deg, I = 16

a = 5.023 Å, b = 5.023 Å, c = 10.144 Å
α = 90.00°, β = 90.00°, γ = 146.28°
Element x y z (fractional)
Ti  0.127  0.873  0.570
Ti  0.127  0.873  0.930
Ti  0.873  0.127  0.070
Ti  0.873  0.127  0.430
Zn  0.382  0.618  0.750
Zn  0.618  0.382  0.250
O  0.037  0.963  0.750
O  0.225  0.775  0.114
O  0.225  0.775  0.386
O  0.500  0.500  0.000
O  0.500  0.500  0.500
O  0.775  0.225  0.614
O  0.775  0.225  0.886
O  0.963  0.037  0.250

# Cs2LiInF6
Computed powder XRD pattern, λ = 1.5418 Å (Cu Kα). Input: a DFT-relaxed cell (PBE, the Materials Project).

Most intense lines, 2θ = 10–90°, in order of rising 2θ:
17.3 deg, I = 27; 20.0 deg, I = 9; 28.5 deg, I = 100; 33.5 deg, I = 13; 35.1 deg, I = 21; 40.7 deg, I = 40; 50.5 deg, I = 41; 59.0 deg, I = 25; 66.8 deg, I = 18; 81.2 deg, I = 22

a = 6.266 Å, b = 6.266 Å, c = 6.266 Å
α = 60.00°, β = 60.00°, γ = 60.00°
Element x y z (fractional)
Cs  0.250  0.250  0.250
Cs  0.750  0.750  0.750
Li  0.000  0.000  0.000
In  0.500  0.500  0.500
F  0.259  0.259  0.741
F  0.259  0.741  0.259
F  0.259  0.741  0.741
F  0.741  0.259  0.259
F  0.741  0.259  0.741
F  0.741  0.741  0.259